This entry pairs a crystal structure of Ca4Sn2N with its simulated powder XRD pattern. Radiation: Cu Kα, 1.54184 Å. Structure: DFT lattice parameters and positions (PBE).
Kinematic intensities with the Lorentz-polarization factor, no thermal factor.

Top 6 peaks for 10° ≤ 2θ ≤ 90°, low angle first:
2theta  Rel. int.  h k l
18.72  30  1 0 1
24.81  26  1 0 3
25.30  53  1 1 0
34.38  100  1 1 4
36.08  58  2 0 0
63.79  33  3 1 4

Atomic structure:
```
data_Ca4Sn2N
_chemical_formula_sum 'Ca8 Sn4 N2'
_space_group_name_H-M_alt 'I 4/m m m'
_space_group_IT_number 139
_space_group_name_Hall '-I 4 2'
_cell_length_a 4.978
_cell_length_b 4.978
_cell_length_c 15.536
_cell_angle_alpha 90.00
_cell_angle_beta 90.00
_cell_angle_gamma 90.00
loop_
_atom_site_label
_atom_site_type_symbol
_atom_site_fract_x
_atom_site_fract_y
_atom_site_fract_z
Ca1 Ca 0.000 0.000 0.155
Ca2 Ca 0.000 0.500 0.000
Sn1 Sn 0.000 0.000 0.367
N1 N 0.000 0.000 0.000
```

=====

This entry pairs a crystal structure of CaS4 with its simulated powder XRD pattern. Radiation: Cu Kα, 1.54184 Å. Structure: DFT lattice parameters and positions (PBE).
Kinematic intensities with the Lorentz-polarization factor, no thermal factor.

Top 6 peaks for 10° ≤ 2θ ≤ 90°, low angle first:
2theta  Rel. int.  h k l
14.72  41  0 0 1
16.70  100  0 1 0
30.89  58  1 0 -1
31.04  56  1 0 2
39.89  32  2 1 1
43.51  35  1 0 3

Atomic structure:
```
data_CaS4
_chemical_formula_sum 'Ca1 S4'
_space_group_name_H-M_alt 'P -1'
_space_group_IT_number 2
_cell_length_a 4.519
_cell_length_b 5.765
_cell_length_c 6.430
_cell_angle_alpha 81.55
_cell_angle_beta 69.43
_cell_angle_gamma 67.11
loop_
_space_group_symop_operation_xyz
'x,y,z'
'-x,-y,-z'
loop_
_atom_site_label
_atom_site_type_symbol
_atom_site_fract_x
_atom_site_fract_y
_atom_site_fract_z
Ca1 Ca 0.000 0.000 0.000
S1 S 0.288 0.189 0.237
S2 S 0.474 0.811 0.240
```

=====

This entry pairs a crystal structure of CrFe4Co with its simulated powder XRD pattern. Radiation: Cu Kα, 1.54184 Å. Structure: DFT lattice parameters and positions (PBE).
Kinematic intensities with the Lorentz-polarization factor, no thermal factor.

Top 6 peaks for 10° ≤ 2θ ≤ 90°, low angle first:
2theta  Rel. int.  h k l
45.02  100  2 0 6
45.38  49  2 2 0
65.00  8  0 0 12
66.11  14  4 0 0
82.82  14  2 2 12
83.58  28  4 2 6

Atomic structure:
```
data_CrFe4Co
_chemical_formula_sum 'Cr8 Fe32 Co8'
_space_group_name_H-M_alt 'F m m m'
_space_group_IT_number 69
_space_group_name_Hall '-F 2 2'
_cell_length_a 5.653
_cell_length_b 5.653
_cell_length_c 17.217
_cell_angle_alpha 90.00
_cell_angle_beta 90.00
_cell_angle_gamma 90.00
loop_
_atom_site_label
_atom_site_type_symbol
_atom_site_fract_x
_atom_site_fract_y
_atom_site_fract_z
Cr1 Cr 0.250 0.000 0.250
Fe1 Fe 0.000 0.249 0.167
Fe2 Fe 0.250 0.000 0.083
Co1 Co 0.000 0.250 0.000
```

=====

This entry pairs a crystal structure of K3Na9Tl2 with its simulated powder XRD pattern. Radiation: Cu Kα, 1.54184 Å. Structure: DFT lattice parameters and positions (PBE).
Kinematic intensities with the Lorentz-polarization factor, no thermal factor.

Top 6 peaks for 10° ≤ 2θ ≤ 90°, low angle first:
2theta  Rel. int.  h k l
12.03  100  0 0 2
17.01  78  1 0 1
19.96  60  0 3 1
26.36  59  0 3 3
27.37  66  1 2 3
27.72  81  1 3 2

Atomic structure:
```
data_K3Na9Tl2
_chemical_formula_sum 'K6 Na18 Tl4'
_space_group_name_H-M_alt 'I m m m'
_space_group_IT_number 71
_space_group_name_Hall '-I 2 2'
_cell_length_a 5.574
_cell_length_b 13.999
_cell_length_c 14.717
_cell_angle_alpha 90.00
_cell_angle_beta 90.00
_cell_angle_gamma 90.00
loop_
_atom_site_label
_atom_site_type_symbol
_atom_site_fract_x
_atom_site_fract_y
_atom_site_fract_z
K1 K 0.000 0.000 0.000
K2 K 0.000 0.000 0.305
Na1 Na 0.000 0.286 0.125
Na2 Na 0.000 0.361 0.366
Na3 Na 0.000 0.500 0.000
Tl1 Tl 0.000 0.170 0.500
```

=====

This entry pairs a crystal structure of NaSrMnI5 with its simulated powder XRD pattern. Radiation: Cu Kα, 1.54184 Å. Structure: DFT lattice parameters and positions (PBE).
Kinematic intensities with the Lorentz-polarization factor, no thermal factor.

Top 6 peaks for 10° ≤ 2θ ≤ 90°, low angle first:
2theta  Rel. int.  h k l
21.52  70  2 2 -1
21.62  81  0 2 2
23.33  100  2 2 -2
23.83  57  1 1 -3
25.34  81  1 3 1
38.24  45  4 0 -4

Atomic structure:
```
data_NaSrMnI5
_chemical_formula_sum 'Na4 Sr4 Mn4 I20'
_space_group_name_H-M_alt 'C 1 2/c 1'
_space_group_IT_number 15
_cell_length_a 10.682
_cell_length_b 13.033
_cell_length_c 11.717
_cell_angle_alpha 90.00
_cell_angle_beta 115.29
_cell_angle_gamma 90.00
loop_
_space_group_symop_operation_xyz
'x,y,z'
'-x,-y,-z'
'-x,y,-z+1/2'
'x,-y,z+1/2'
'x+1/2,y+1/2,z'
'-x+1/2,-y+1/2,-z'
'-x+1/2,y+1/2,-z+1/2'
'x+1/2,-y+1/2,z+1/2'
loop_
_atom_site_label
_atom_site_type_symbol
_atom_site_fract_x
_atom_site_fract_y
_atom_site_fract_z
Na1 Na 0.000 0.147 0.250
Sr1 Sr 0.000 0.500 0.000
Mn1 Mn 0.000 0.172 0.750
I1 I 0.000 0.388 0.250
I2 I 0.142 0.288 0.655
I3 I 0.165 0.043 0.936
```

=====

This entry pairs a crystal structure of SrCrPd2 with its simulated powder XRD pattern. Radiation: Cu Kα, 1.54184 Å. Structure: DFT lattice parameters and positions (PBE).
Kinematic intensities with the Lorentz-polarization factor, no thermal factor.

Top 6 peaks for 10° ≤ 2θ ≤ 90°, low angle first:
2theta  Rel. int.  h k l
22.50  6  1 1 1
37.15  100  2 2 0
43.86  3  3 1 1
53.54  17  4 0 0
66.96  34  4 2 2
79.14  10  4 4 0

Atomic structure:
```
data_SrCrPd2
_chemical_formula_sum 'Sr4 Cr4 Pd8'
_space_group_name_H-M_alt 'F -4 3 m'
_space_group_IT_number 216
_space_group_name_Hall 'F -4 2 3'
_cell_length_a 6.846
_cell_length_b 6.846
_cell_length_c 6.846
_cell_angle_alpha 90.00
_cell_angle_beta 90.00
_cell_angle_gamma 90.00
loop_
_atom_site_label
_atom_site_type_symbol
_atom_site_fract_x
_atom_site_fract_y
_atom_site_fract_z
Sr1 Sr 0.000 0.000 0.000
Cr1 Cr 0.250 0.250 0.250
Pd1 Pd 0.000 0.000 0.500
Pd2 Pd 0.250 0.250 0.750
```

=====

This entry pairs a crystal structure of Li2ErZn10 with its simulated powder XRD pattern. Radiation: Cu Kα, 1.54184 Å. Structure: DFT lattice parameters and positions (PBE).
Kinematic intensities with the Lorentz-polarization factor, no thermal factor.

Top 6 peaks for 10° ≤ 2θ ≤ 90°, low angle first:
2theta  Rel. int.  h k l
34.83  56  2 0 0
34.98  96  1 3 3
40.18  100  1 1 5
40.49  81  2 2 2
40.67  71  0 4 4
41.08  92  1 5 1

Atomic structure:
```
data_Li2ErZn10
_chemical_formula_sum 'Li8 Er4 Zn40'
_space_group_name_H-M_alt 'F m m m'
_space_group_IT_number 69
_space_group_name_Hall '-F 2 2'
_cell_length_a 5.152
_cell_length_b 12.375
_cell_length_c 12.729
_cell_angle_alpha 90.00
_cell_angle_beta 90.00
_cell_angle_gamma 90.00
loop_
_atom_site_label
_atom_site_type_symbol
_atom_site_fract_x
_atom_site_fract_y
_atom_site_fract_z
Li1 Li 0.250 0.000 0.250
Er1 Er 0.000 0.000 0.000
Zn1 Zn 0.000 0.106 0.390
Zn2 Zn 0.000 0.175 0.177
Zn3 Zn 0.250 0.250 0.000
```

=====

This entry pairs a crystal structure of NaTi2HO5 with its simulated powder XRD pattern. Radiation: Cu Kα, 1.54184 Å. Structure: DFT lattice parameters and positions (PBE).
Kinematic intensities with the Lorentz-polarization factor, no thermal factor.

Top 6 peaks for 10° ≤ 2θ ≤ 90°, low angle first:
2theta  Rel. int.  h k l
16.95  100  0 0 2
25.12  68  0 1 -1
25.55  65  0 0 3
26.07  88  0 1 1
34.24  63  1 0 2
39.50  57  1 0 3

Atomic structure:
```
data_NaTi2HO5
_chemical_formula_sum 'Na1 Ti2 H1 O5'
_space_group_name_H-M_alt 'P 1'
_space_group_IT_number 1
_cell_length_a 3.053
_cell_length_b 3.697
_cell_length_c 10.480
_cell_angle_alpha 93.34
_cell_angle_beta 90.85
_cell_angle_gamma 90.00
loop_
_space_group_symop_operation_xyz
'x,y,z'
loop_
_atom_site_label
_atom_site_type_symbol
_atom_site_fract_x
_atom_site_fract_y
_atom_site_fract_z
Na1 Na 0.000 0.000 0.000
Ti1 Ti 0.482 0.941 0.657
Ti2 Ti 0.971 0.406 0.441
H1 H 0.496 0.511 0.127
O1 O 0.466 0.390 0.342
O2 O 0.478 0.431 0.596
O3 O 0.503 0.507 0.034
O4 O 0.974 0.916 0.502
O5 O 0.987 0.958 0.757
```

=====

This entry pairs a crystal structure of Mn2GaSe2 with its simulated powder XRD pattern. Radiation: Cu Kα, 1.54184 Å. Structure: DFT lattice parameters and positions (PBE).
Kinematic intensities with the Lorentz-polarization factor, no thermal factor.

Top 6 peaks for 10° ≤ 2θ ≤ 90°, low angle first:
2theta  Rel. int.  h k l
29.82  12  2 0 1
31.99  12  1 1 -1
35.86  100  2 0 -2
48.71  13  6 0 0
51.62  41  1 1 2
86.98  13  1 1 -4

Atomic structure:
```
data_Mn2GaSe2
_chemical_formula_sum 'Mn4 Ga2 Se4'
_space_group_name_H-M_alt 'C 1 2/m 1'
_space_group_IT_number 12
_cell_length_a 12.278
_cell_length_b 3.371
_cell_length_c 5.010
_cell_angle_alpha 90.00
_cell_angle_beta 113.99
_cell_angle_gamma 90.00
loop_
_space_group_symop_operation_xyz
'x,y,z'
'-x,-y,-z'
'-x,y,-z'
'x,-y,z'
'x+1/2,y+1/2,z'
'-x+1/2,-y+1/2,-z'
'-x+1/2,y+1/2,-z'
'x+1/2,-y+1/2,z'
loop_
_atom_site_label
_atom_site_type_symbol
_atom_site_fract_x
_atom_site_fract_y
_atom_site_fract_z
Mn1 Mn 0.178 0.000 0.178
Ga1 Ga 0.000 0.500 0.000
Se1 Se 0.156 0.000 0.657
```

=====

This entry pairs a crystal structure of Pm5PrEr3 with its simulated powder XRD pattern. Radiation: Cu Kα, 1.54184 Å. Structure: DFT lattice parameters and positions (PBE).
Kinematic intensities with the Lorentz-polarization factor, no thermal factor.

Top 6 peaks for 10° ≤ 2θ ≤ 90°, low angle first:
2theta  Rel. int.  h k l
27.75  42  2 2 0
28.43  50  2 1 3
31.13  100  2 0 4
36.13  20  3 2 1
49.16  16  0 0 8
57.37  26  2 2 8

Atomic structure:
```
data_Pm5PrEr3
_chemical_formula_sum 'Pm20 Pr4 Er12'
_space_group_name_H-M_alt 'I 4/m c m'
_space_group_IT_number 140
_space_group_name_Hall '-I 4 2c'
_cell_length_a 9.092
_cell_length_b 9.092
_cell_length_c 14.822
_cell_angle_alpha 90.00
_cell_angle_beta 90.00
_cell_angle_gamma 90.00
loop_
_atom_site_label
_atom_site_type_symbol
_atom_site_fract_x
_atom_site_fract_y
_atom_site_fract_z
Pm1 Pm 0.000 0.000 0.000
Pm2 Pm 0.200 0.300 0.132
Pr1 Pr 0.000 0.500 0.250
Er1 Er 0.000 0.000 0.250
Er2 Er 0.113 0.387 0.500
```

=====

This entry pairs a crystal structure of Nd3Sn13Rh4 with its simulated powder XRD pattern. Radiation: Cu Kα, 1.54184 Å. Structure: DFT lattice parameters and positions (PBE).
Kinematic intensities with the Lorentz-polarization factor, no thermal factor.

Top 6 peaks for 10° ≤ 2θ ≤ 90°, low angle first:
2theta  Rel. int.  h k l
32.93  100  3 2 0
34.21  38  3 2 1
36.65  21  4 0 0
45.30  21  4 2 2
54.56  14  4 3 3
57.97  17  5 3 2

Atomic structure:
```
data_Nd3Sn13Rh4
_chemical_formula_sum 'Nd6 Sn26 Rh8'
_space_group_name_H-M_alt 'P m -3 n'
_space_group_IT_number 223
_space_group_name_Hall '-P 4n 2 3'
_cell_length_a 9.807
_cell_length_b 9.807
_cell_length_c 9.807
_cell_angle_alpha 90.00
_cell_angle_beta 90.00
_cell_angle_gamma 90.00
loop_
_atom_site_label
_atom_site_type_symbol
_atom_site_fract_x
_atom_site_fract_y
_atom_site_fract_z
Nd1 Nd 0.000 0.250 0.500
Sn1 Sn 0.000 0.000 0.000
Sn2 Sn 0.000 0.307 0.153
Rh1 Rh 0.250 0.250 0.250
```

=====

This entry pairs a crystal structure of Pr2PaIr with its simulated powder XRD pattern. Radiation: Cu Kα, 1.54184 Å. Structure: DFT lattice parameters and positions (PBE).
Kinematic intensities with the Lorentz-polarization factor, no thermal factor.

Top 6 peaks for 10° ≤ 2θ ≤ 90°, low angle first:
2theta  Rel. int.  h k l
16.41  25  0 0 6
29.62  30  1 0 1
30.01  100  0 1 2
37.06  73  0 1 8
40.77  88  1 0 10
52.32  44  1 1 0

Atomic structure:
```
data_Pr2PaIr
_chemical_formula_sum 'Pr6 Pa3 Ir3'
_space_group_name_H-M_alt 'R -3 m'
_space_group_IT_number 166
_space_group_name_Hall '-R 3 2"'
_cell_length_a 3.4973
_cell_length_b 3.4973
_cell_length_c 32.4171
_cell_angle_alpha 90.00
_cell_angle_beta 90.00
_cell_angle_gamma 120.00
loop_
_atom_site_label
_atom_site_type_symbol
_atom_site_fract_x
_atom_site_fract_y
_atom_site_fract_z
Pr1 Pr 0.0000 0.0000 0.1038
Pa1 Pa 0.0000 0.0000 0.0000
Ir1 Ir 0.0000 0.0000 0.5000
```